Starting from the PBE geometry in Alexandria, the XRD peak list of Er2Tc12P7 was calculated for CuKα.
Neutral-atom scattering factors, no anomalous dispersion.

Peak list (10 most intense, 15 to 90 degrees two-theta, sorted by position)
d 3.122, 2θ = 28.59°, rel. 14.3
d 2.450, 2θ = 36.68°, rel. 100.0
d 2.385, 2θ = 37.72°, rel. 10.8
d 2.291, 2θ = 39.32°, rel. 11.4
d 2.259, 2θ = 39.90°, rel. 9.9
d 1.982, 2θ = 45.78°, rel. 19.3
d 1.976, 2θ = 45.93°, rel. 20.9
d 1.803, 2θ = 50.64°, rel. 13.1
d 1.332, 2θ = 70.75°, rel. 9.5
d 1.214, 2θ = 78.87°, rel. 10.5

Cell and atoms:
```
21
Lattice="9.539 0.000 0.000 -4.770 8.261 0.000 0.000 0.000 3.952" Properties=species:S:1:pos:R:3 pbc="T T T"
Er 0.000 0.000 0.000
Er 0.000 5.507 1.976
Tc -3.023 6.331 1.976
Tc -0.841 3.101 0.000
Tc 0.799 2.478 1.976
Tc -1.663 7.439 0.000
Tc 2.714 1.790 0.000
Tc 4.633 0.968 1.976
Tc 3.292 3.765 1.976
Tc 2.504 5.982 0.000
Tc 2.224 7.714 1.976
Tc 6.632 1.456 0.000
Tc 4.962 5.016 0.000
Tc 6.384 3.528 1.976
P -2.206 5.024 0.000
P 2.240 0.484 1.976
P 1.522 3.839 0.000
P 0.684 7.659 0.000
P 4.770 2.754 0.000
P 4.069 6.080 1.976
P 8.000 1.698 1.976
```



Starting from the PBE geometry in Alexandria, the XRD peak list of AcGeS2 was calculated for CuKα.
Neutral-atom scattering factors, no anomalous dispersion.

Peak list (10 most intense, 15 to 90 degrees two-theta, sorted by position)
d 4.905, 2θ = 18.09°, rel. 11.8
d 3.892, 2θ = 22.85°, rel. 100.0
d 3.604, 2θ = 24.70°, rel. 19.9
d 3.346, 2θ = 26.64°, rel. 11.2
d 2.548, 2θ = 35.23°, rel. 14.8
d 2.452, 2θ = 36.65°, rel. 11.7
d 2.312, 2θ = 38.95°, rel. 31.1
d 2.260, 2θ = 39.89°, rel. 13.7
d 2.132, 2θ = 42.39°, rel. 25.1
d 1.869, 2θ = 48.71°, rel. 10.8

Cell and atoms:
```
16
Lattice="3.605 -9.043 0.000 3.605 9.043 0.000 0.000 0.000 7.202" Properties=species:S:1:pos:R:3 pbc="T T T"
Ac 3.605 5.963 6.999
Ac 3.605 3.080 3.399
Ac 3.605 -3.080 3.803
Ac 3.605 -5.963 0.202
Ge 3.605 8.621 2.402
Ge 3.605 0.422 6.003
Ge 3.605 -0.422 1.199
Ge 3.605 -8.621 4.800
S 1.803 4.245 5.401
S 1.803 1.110 1.800
S 1.803 -1.110 5.401
S 1.803 -4.245 1.800
S 5.408 4.245 5.401
S 5.408 1.110 1.800
S 5.408 -1.110 5.401
S 5.408 -4.245 1.800
```



Starting from the PBE geometry in Alexandria, the XRD peak list of Nd5Hg2Pb5 was calculated for CuKα.
Neutral-atom scattering factors, no anomalous dispersion.

Peak list (10 most intense, 15 to 90 degrees two-theta, sorted by position)
d 3.569, 2θ = 24.95°, rel. 17.7
d 2.967, 2θ = 30.12°, rel. 71.3
d 2.892, 2θ = 30.92°, rel. 31.6
d 2.765, 2θ = 32.37°, rel. 53.9
d 2.635, 2θ = 34.02°, rel. 100.0
d 2.546, 2θ = 35.25°, rel. 30.9
d 2.396, 2θ = 37.54°, rel. 45.5
d 1.745, 2θ = 52.44°, rel. 20.2
d 1.465, 2θ = 63.52°, rel. 21.6
d 1.425, 2θ = 65.49°, rel. 16.4

Cell and atoms:
```
12
Lattice="8.495 -2.396 0.000 8.495 2.396 0.000 -6.973 0.000 8.947" Properties=species:S:1:pos:R:3 pbc="T T T"
Nd 0.000 0.000 0.000
Nd -1.103 0.000 3.652
Nd -2.491 0.000 7.362
Nd 12.508 0.000 1.585
Nd 11.120 0.000 5.295
Hg 0.754 0.000 7.014
Hg 9.263 0.000 1.933
Pb 2.155 0.000 3.048
Pb 6.283 0.000 1.240
Pb 5.009 0.000 4.474
Pb 3.734 0.000 7.707
Pb 7.862 0.000 5.899
```



Starting from the PBE geometry in Alexandria, the XRD peak list of Tm4Cu2HgRu was calculated for CuKα.
Neutral-atom scattering factors, no anomalous dispersion.

Peak list (10 most intense, 15 to 90 degrees two-theta, sorted by position)
d 4.013, 2θ = 22.15°, rel. 5.3
d 3.474, 2θ = 25.64°, rel. 5.0
d 2.457, 2θ = 36.57°, rel. 100.0
d 1.737, 2θ = 52.69°, rel. 16.9
d 1.419, 2θ = 65.80°, rel. 26.5
d 1.416, 2θ = 65.97°, rel. 6.9
d 1.230, 2θ = 77.65°, rel. 5.8
d 1.227, 2θ = 77.84°, rel. 4.3
d 1.099, 2θ = 89.05°, rel. 7.9
d 1.098, 2θ = 89.19°, rel. 6.3

Cell and atoms:
```
8
Lattice="2.459 1.420 8.008 -2.459 1.420 8.008 0.000 -2.840 8.008" Properties=species:S:1:pos:R:3 pbc="T T T"
Tm 0.000 0.000 2.824
Tm 0.000 0.000 8.868
Tm 0.000 0.000 15.155
Tm 0.000 0.000 21.199
Cu 0.000 0.000 5.972
Cu 0.000 0.000 18.051
Hg 0.000 0.000 12.012
Ru 0.000 0.000 0.000
```